Diffraction record for FeW2O8. The X-ray powder pattern is computed, not measured: it uses a cell relaxed with PBE+U and Cu Kα, 1.54184 Å.
Lines closer than 0.1° are merged.

Cell and atoms:
Lattice parameters (Å, degrees): 7.592 7.592 5.070 91.39 91.39 102.83
Fractional positions:
Fe 0.174 0.826 0.750
Fe 0.826 0.174 0.250
W 0.162 0.339 0.766
W 0.339 0.162 0.266
W 0.661 0.838 0.734
W 0.838 0.661 0.234
O 0.057 0.718 0.418
O 0.073 0.202 0.086
O 0.173 0.570 0.867
O 0.202 0.073 0.586
O 0.282 0.943 0.082
O 0.309 0.388 0.464
O 0.388 0.309 0.964
O 0.430 0.827 0.633
O 0.570 0.173 0.367
O 0.612 0.691 0.036
O 0.691 0.612 0.536
O 0.718 0.057 0.918
O 0.798 0.927 0.414
O 0.827 0.430 0.133
O 0.927 0.798 0.914
O 0.943 0.282 0.582

Peak list (6 most intense, 2θ = 10–90°, by angle)
2theta  I_rel
18.76  98
23.08  100
24.06  49
29.46  91
30.35  82
35.05  33


Diffraction record for MnCoCuF6. The X-ray powder pattern is computed, not measured: it uses a cell relaxed with PBE+U and Cu Kα, 1.54184 Å.
Lines closer than 0.1° are merged.

Cell and atoms:
Lattice parameters (Å, degrees): 4.784 4.784 9.803 90.00 90.00 90.00
Fractional positions:
Mn 0.000 0.000 0.000
Mn 0.500 0.500 0.500
Co 0.000 0.000 0.667
Co 0.500 0.500 0.167
Cu 0.000 0.000 0.333
Cu 0.500 0.500 0.833
F 0.189 0.189 0.503
F 0.202 0.202 0.170
F 0.202 0.202 0.829
F 0.298 0.702 0.329
F 0.298 0.702 0.670
F 0.311 0.689 0.003
F 0.689 0.311 0.003
F 0.702 0.298 0.329
F 0.702 0.298 0.670
F 0.798 0.798 0.170
F 0.798 0.798 0.829
F 0.811 0.811 0.503

Peak list (6 most intense, 2θ = 10–90°, by angle)
2theta  I_rel
26.35  100
33.20  60
38.30  20
51.02  69
54.23  20
65.08  24